No. 1
This entry pairs a crystal structure of Li3Sn2 with its theoretical PXRD pattern. Radiation: Cu Kα, 1.54184 Å. Structure: a crystal structure in Alexandria, relaxed with PBE.
Kinematic intensities with the Lorentz-polarization factor, no thermal factor.

The 10 most intense peaks (2θ = 5–70°), most intense first:
d/Å	I_rel	h k l
4.818	100	2 0 0
2.479	82	1 3 1
4.314	67	1 1 1
2.497	45	2 0 2
2.005	44	3 3 1
2.919	29	0 0 2
2.410	29	4 0 0
4.285	25	0 2 0
1.586	21	1 3 3
2.674	20	3 1 1

Cell and atoms:
```
data_Li3Sn2
_chemical_formula_sum 'Li12 Sn8'
_symmetry_space_group_name_H-M 'C m c 21'
_symmetry_Int_Tables_number 36
_symmetry_space_group_name_Hall 'C 2c -2'
_cell_length_a 9.636
_cell_length_b 8.569
_cell_length_c 5.839
_cell_angle_alpha 90.00
_cell_angle_beta 90.00
_cell_angle_gamma 90.00
loop_
_atom_site_label
_atom_site_fract_x
_atom_site_fract_y
_atom_site_fract_z
Li1 0.000 0.250 0.000
Li2 0.250 0.016 0.252
Sn1 0.000 0.080 0.512
Sn2 0.000 0.420 0.492
```



No. 2
This entry pairs a crystal structure of PdPbAuO4 with its theoretical PXRD pattern. Radiation: Cu Kα, 1.54184 Å. Structure: a crystal structure in Alexandria, relaxed with PBE.
Kinematic intensities with the Lorentz-polarization factor, no thermal factor.

The 10 most intense peaks (2θ = 5–70°), most intense first:
d/Å	I_rel	h k l
2.853	100	2 1 1
2.753	97	0 2 2
5.457	77	1 0 1
2.874	66	1 2 1
2.857	60	1 0 3
2.371	52	0 0 4
2.123	49	2 2 2
3.336	36	2 0 0
1.833	36	2 3 1
1.427	32	4 2 2

Cell and atoms:
```
data_PdPbAuO4
_chemical_formula_sum 'Pd4 Pb4 Au4 O16'
_symmetry_space_group_name_H-M 'I m m a'
_symmetry_Int_Tables_number 74
_symmetry_space_group_name_Hall '-I 2b 2'
_cell_length_a 6.672
_cell_length_b 6.763
_cell_length_c 9.482
_cell_angle_alpha 90.00
_cell_angle_beta 90.00
_cell_angle_gamma 90.00
loop_
_atom_site_label
_atom_site_fract_x
_atom_site_fract_y
_atom_site_fract_z
Pd1 0.250 0.250 0.250
Pb1 0.000 0.000 0.000
Au1 0.000 0.250 0.717
O1 0.000 0.052 0.247
O2 0.225 0.250 0.036
```



No. 3
This entry pairs a crystal structure of ZrSc3 with its theoretical PXRD pattern. Radiation: Cu Kα, 1.54184 Å. Structure: a crystal structure in Alexandria, relaxed with PBE.
Kinematic intensities with the Lorentz-polarization factor, no thermal factor.

The 10 most intense peaks (2θ = 5–70°), most intense first:
d/Å	I_rel	h k l
2.488	100	0 1 2
2.573	29	2 0 2
7.656	20	0 0 1
2.503	20	1 0 -3
2.842	19	1 1 -1
1.646	15	3 1 -3
1.467	11	4 1 2
2.856	10	2 0 -2
1.909	9	4 0 0
5.712	8	1 0 -1

Cell and atoms:
```
data_ZrSc3
_chemical_formula_sum 'Zr2 Sc6'
_symmetry_space_group_name_H-M 'P 1 21/m 1'
_symmetry_Int_Tables_number 11
_symmetry_space_group_name_Hall '-P 2yb'
_cell_length_a 7.667
_cell_length_b 3.276
_cell_length_c 7.710
_cell_angle_alpha 90.00
_cell_angle_beta 95.97
_cell_angle_gamma 90.00
loop_
_atom_site_label
_atom_site_fract_x
_atom_site_fract_y
_atom_site_fract_z
Zr1 0.163 0.250 0.086
Sc1 0.082 0.250 0.673
Sc2 0.331 0.750 0.414
Sc3 0.418 0.750 0.836
```



No. 4
This entry pairs a crystal structure of KAlH3 with its theoretical PXRD pattern. Radiation: Cu Kα, 1.54184 Å. Structure: a crystal structure in Alexandria, relaxed with PBE.
Kinematic intensities with the Lorentz-polarization factor, no thermal factor.

The 10 most intense peaks (2θ = 5–70°), most intense first:
d/Å	I_rel	h k l
3.931	100	1 0 1
3.146	72	1 3 0
2.800	54	0 3 1
2.977	43	2 2 0
2.761	31	2 1 1
1.984	30	3 2 1
1.878	16	1 3 2
1.691	16	2 5 1
2.341	15	0 0 2
2.350	15	3 1 0

Cell and atoms:
```
data_KAlH3
_chemical_formula_sum 'K4 Al4 H12'
_symmetry_space_group_name_H-M 'I m m 2'
_symmetry_Int_Tables_number 44
_symmetry_space_group_name_Hall 'I 2 -2'
_cell_length_a 7.233
_cell_length_b 10.482
_cell_length_c 4.683
_cell_angle_alpha 90.00
_cell_angle_beta 90.00
_cell_angle_gamma 90.00
loop_
_atom_site_label
_atom_site_fract_x
_atom_site_fract_y
_atom_site_fract_z
K1 0.000 0.187 0.000
Al1 0.181 0.500 0.095
H1 0.218 0.130 0.464
H2 0.239 0.000 0.926
```



No. 5
This entry pairs a crystal structure of Ag6PtAu10 with its theoretical PXRD pattern. Radiation: Cu Kα, 1.54184 Å. Structure: a crystal structure in Alexandria, relaxed with PBE.
Kinematic intensities with the Lorentz-polarization factor, no thermal factor.

The 10 most intense peaks (2θ = 5–70°), most intense first:
d/Å	I_rel	h k l
2.302	100	1 1 2
2.313	96	3 0 0
1.631	31	4 -2 2
3.263	14	2 -1 1
2.377	10	3 -1 1
3.469	6	2 0 0
2.953	6	2 0 1
1.532	5	3 2 1
2.623	3	2 1 0
1.918	3	3 -1 2

Cell and atoms:
```
data_Ag6PtAu10
_chemical_formula_sum 'Ag6 Pt1 Au10'
_symmetry_space_group_name_H-M 'P -3 1 m'
_symmetry_Int_Tables_number 162
_symmetry_space_group_name_Hall '-P 3 2'
_cell_length_a 8.0119
_cell_length_b 8.0119
_cell_length_c 5.6239
_cell_angle_alpha 90.00
_cell_angle_beta 90.00
_cell_angle_gamma 120.00
loop_
_atom_site_label
_atom_site_fract_x
_atom_site_fract_y
_atom_site_fract_z
Ag1 0.0000 0.3407 0.3413
Pt1 0.0000 0.0000 0.5000
Au1 0.0000 0.3029 0.8437
Au2 0.3333 0.6667 0.0000
Au3 0.3333 0.6667 0.5000
```



No. 6
This entry pairs a crystal structure of K2Ge with its theoretical PXRD pattern. Radiation: Cu Kα, 1.54184 Å. Structure: a crystal structure in Alexandria, relaxed with PBE.
Kinematic intensities with the Lorentz-polarization factor, no thermal factor.

The 10 most intense peaks (2θ = 5–70°), most intense first:
d/Å	I_rel	h k l
9.276	100	0 0 1
3.085	31	0 1 3
3.481	23	0 1 -2
6.164	21	0 1 1
6.771	21	0 1 0
2.571	20	1 2 0
3.437	15	0 2 1
3.304	15	-1 1 1
2.361	14	0 1 4
3.197	13	1 1 2

Cell and atoms:
```
data_K2Ge
_chemical_formula_sum 'K4 Ge2'
_symmetry_space_group_name_H-M 'P -1'
_symmetry_Int_Tables_number 2
_symmetry_space_group_name_Hall '-P 1'
_cell_length_a 4.180
_cell_length_b 6.946
_cell_length_c 9.648
_cell_angle_alpha 77.24
_cell_angle_beta 80.50
_cell_angle_gamma 89.80
loop_
_atom_site_label
_atom_site_fract_x
_atom_site_fract_y
_atom_site_fract_z
K1 0.128 0.296 0.330
K2 0.317 0.159 0.831
Ge1 0.260 0.608 0.973
```



No. 7
This entry pairs a crystal structure of Li6Ga2Pb with its theoretical PXRD pattern. Radiation: Cu Kα, 1.54184 Å. Structure: a crystal structure in Alexandria, relaxed with PBE.
Kinematic intensities with the Lorentz-polarization factor, no thermal factor.

The 10 most intense peaks (2θ = 5–70°), most intense first:
d/Å	I_rel	h k l
3.978	100	1 1 0
2.298	86	3 0 0
5.341	23	1 0 1
1.780	19	3 0 3
1.625	19	2 2 3
3.603	17	0 1 2
1.989	16	2 2 0
1.503	13	4 1 0
2.818	12	0 0 3
2.217	10	1 2 2

Cell and atoms:
```
data_Li6Ga2Pb
_chemical_formula_sum 'Li18 Ga6 Pb3'
_symmetry_space_group_name_H-M 'R -3 m'
_symmetry_Int_Tables_number 166
_symmetry_space_group_name_Hall '-R 3 2"'
_cell_length_a 7.9557
_cell_length_b 7.9557
_cell_length_c 8.4543
_cell_angle_alpha 90.00
_cell_angle_beta 90.00
_cell_angle_gamma 120.00
loop_
_atom_site_label
_atom_site_fract_x
_atom_site_fract_y
_atom_site_fract_z
Li1 0.0000 0.3313 0.0000
Ga1 0.0000 0.0000 0.1509
Pb1 0.0000 0.0000 0.5000
```



No. 8
This entry pairs a crystal structure of TaTl2AgO4 with its theoretical PXRD pattern. Radiation: Cu Kα, 1.54184 Å. Structure: a crystal structure in Alexandria, relaxed with PBE.
Kinematic intensities with the Lorentz-polarization factor, no thermal factor.

The 10 most intense peaks (2θ = 5–70°), most intense first:
d/Å	I_rel	h k l
3.165	100	1 1 0
2.878	34	2 0 -1
1.712	29	3 1 -1
1.894	26	2 0 1
2.035	15	2 2 -2
1.582	12	2 2 0
1.551	12	1 1 2
2.516	11	0 0 2
1.710	4	3 1 -3
4.997	4	1 0 -1

Cell and atoms:
```
data_TaTl2AgO4
_chemical_formula_sum 'Ta1 Tl2 Ag1 O4'
_symmetry_space_group_name_H-M 'P 1'
_symmetry_Int_Tables_number 1
_symmetry_space_group_name_Hall 'P 1'
_cell_length_a 5.754
_cell_length_b 5.759
_cell_length_c 6.468
_cell_angle_alpha 116.34
_cell_angle_beta 116.37
_cell_angle_gamma 90.06
loop_
_atom_site_label
_atom_site_fract_x
_atom_site_fract_y
_atom_site_fract_z
Ta1 0.000 0.000 0.000
Tl1 0.250 0.749 0.500
Tl2 0.500 0.500 0.999
Ag1 0.750 0.250 0.500
O1 0.053 0.679 0.786
O2 0.321 0.267 0.213
O3 0.732 0.107 0.786
O4 0.894 0.947 0.215
```